(1)
Simulated X-ray diffraction stick pattern
Compound: Dy5Y12Er
Radiation: Cu Kα (weighted mean of Kα1 and Kα2)
Structure: DFT lattice parameters and positions (GGA-PBE)
Lines closer than 0.1° are merged.

a b c (Å): 15.088 15.124 5.032
angles (deg): 90.00 90.00 90.00
Space group Cmmm (No. 65)
Asymmetric unit:
Dy 0.000 0.000 0.000 [2 per cell]
Dy 0.000 0.167 0.500 [4 per cell]
Dy 0.000 0.333 0.000 [4 per cell]
Y 0.165 0.500 0.000 [4 per cell]
Y 0.166 0.000 0.500 [4 per cell]
Y 0.166 0.167 0.000 [8 per cell]
Y 0.166 0.333 0.500 [8 per cell]
Er 0.000 0.500 0.500 [2 per cell]

Top 6 peaks for 2θ from 10° to 90°, in order of falling intensity:
2θ/deg	I_rel
30.8	100
35.7	50
51.3	35
61.0	28
61.1	14
64.1	12


(2)
Simulated X-ray diffraction stick pattern
Compound: NdSb2Au2
Radiation: Cu Kα (weighted mean of Kα1 and Kα2)
Structure: DFT lattice parameters and positions (GGA-PBE)
Lines closer than 0.1° are merged.

a b c (Å): 4.476 24.147 4.462
angles (deg): 90.00 90.00 90.00
Space group Cmcm (No. 63)
Asymmetric unit:
Nd 0.000 0.146 0.250 [4 per cell]
Sb 0.000 0.250 0.750 [4 per cell]
Sb 0.000 0.385 0.250 [4 per cell]
Au 0.000 0.040 0.750 [4 per cell]
Au 0.000 0.460 0.750 [4 per cell]

Top 6 peaks for 2θ from 10° to 90°, in order of falling intensity:
2θ/deg	I_rel
33.9	100
40.3	20
40.4	20
38.6	19
69.4	13
58.4	13